Record 1
This entry pairs a crystal structure of Tb3Nd8Er with its calculated powder diffractogram. Radiation: Cu Kα, 1.54184 Å. Structure: DFT lattice parameters and positions (PBE).

Top 10 peaks for 2θ from 10° to 90°, by intensity:
(0 2 3), d = 2.815 Å, rel. 100.0
(0 4 0), d = 3.011 Å, rel. 60.0
(0 6 3), d = 1.699 Å, rel. 33.6
(2 4 1), d = 2.129 Å, rel. 22.5
(0 0 6), d = 1.593 Å, rel. 13.5
(4 2 -1), d = 1.695 Å, rel. 10.4
(2 8 1), d = 1.346 Å, rel. 10.0
(2 0 -5), d = 1.876 Å, rel. 7.6
(2 2 -8), d = 1.200 Å, rel. 6.8
(0 10 3), d = 1.127 Å, rel. 6.1

Structure:
Unit cell a=7.0809 b=12.0551 c=9.8582 alpha=90.00 beta=104.08 gamma=90.00
Space group C2/m (No. 12)
Inequivalent atoms, fractional coordinates:
Tb1 0.0000 0.0000 0.0000 (multiplicity 2)
Tb2 0.2500 0.2500 0.5000 (multiplicity 4)
Nd1 0.0708 0.2526 0.8343 (multiplicity 8)
Nd2 0.1810 0.0000 0.6690 (multiplicity 4)
Nd3 0.1818 0.5000 0.6636 (multiplicity 4)
Er1 0.0000 0.5000 0.0000 (multiplicity 2)


Record 2
This entry pairs a crystal structure of TbNd4Er2 with its calculated powder diffractogram. Radiation: Cu Kα, 1.54184 Å. Structure: DFT lattice parameters and positions (PBE).

Top 10 peaks for 2θ from 10° to 90°, by intensity:
(1 7 -1), d = 2.964 Å, rel. 100.0
(2 0 -2), d = 2.848 Å, rel. 63.8
(1 5 1), d = 2.788 Å, rel. 32.6
(0 2 2), d = 2.913 Å, rel. 31.0
(1 7 1), d = 2.430 Å, rel. 27.2
(2 2 0), d = 2.773 Å, rel. 23.9
(0 14 1), d = 1.667 Å, rel. 20.8
(3 7 -1), d = 1.811 Å, rel. 20.1
(2 2 -1), d = 3.133 Å, rel. 14.8
(2 14 -1), d = 1.530 Å, rel. 14.1

Structure:
Unit cell a=6.4724 b=24.2988 c=6.8169 alpha=90.00 beta=118.32 gamma=90.00
Space group Cc (No. 9)
Inequivalent atoms, fractional coordinates:
Tb1 0.0000 0.1250 0.0000 (multiplicity 4)
Nd1 0.0336 0.0188 0.6376 (multiplicity 4)
Nd2 0.0466 0.4456 0.6034 (multiplicity 4)
Nd3 0.3962 0.2313 0.3642 (multiplicity 4)
Nd4 0.4426 0.1954 0.8975 (multiplicity 4)
Er1 0.4157 0.3410 0.9505 (multiplicity 4)
Er2 0.4651 0.0911 0.5495 (multiplicity 4)


Record 3
This entry pairs a crystal structure of Tb6NdEr6 with its calculated powder diffractogram. Radiation: Cu Kα, 1.54184 Å. Structure: DFT lattice parameters and positions (PBE).

Top 10 peaks for 2θ from 10° to 90°, by intensity:
(1 3 -1), d = 3.060 Å, rel. 100.0
(2 0 0), d = 2.958 Å, rel. 84.5
(2 2 0), d = 2.607 Å, rel. 74.9
(0 2 2), d = 2.615 Å, rel. 59.6
(2 0 -2), d = 2.779 Å, rel. 52.3
(2 2 -1), d = 2.814 Å, rel. 39.6
(0 0 2), d = 2.972 Å, rel. 38.7
(1 3 1), d = 2.534 Å, rel. 38.5
(0 4 0), d = 2.750 Å, rel. 36.0
(2 2 -2), d = 2.480 Å, rel. 28.2

Structure:
Unit cell a=6.5587 b=10.9986 c=6.5846 alpha=90.00 beta=115.49 gamma=90.00
Space group P2/m (No. 10)
Inequivalent atoms, fractional coordinates:
Tb1 0.0000 0.1643 0.0000 (multiplicity 2)
Tb2 0.2682 0.0000 0.7396 (multiplicity 2)
Tb3 0.3368 0.5000 0.6223 (multiplicity 2)
Nd1 0.0000 0.5000 0.0000 (multiplicity 1)
Er1 0.0000 0.2678 0.5000 (multiplicity 2)
Er2 0.5000 0.1984 0.5000 (multiplicity 2)
Er3 0.5000 0.2798 0.0000 (multiplicity 2)


Record 4
This entry pairs a crystal structure of Tb6Nd2Er with its calculated powder diffractogram. Radiation: Cu Kα, 1.54184 Å. Structure: DFT lattice parameters and positions (PBE).

Top 10 peaks for 2θ from 10° to 90°, by intensity:
(0 6 0), d = 2.963 Å, rel. 100.0
(3 3 -1), d = 2.793 Å, rel. 89.5
(0 2 2), d = 2.903 Å, rel. 44.3
(0 4 2), d = 2.526 Å, rel. 31.4
(3 5 1), d = 2.296 Å, rel. 22.7
(3 9 -1), d = 1.674 Å, rel. 19.5
(3 3 3), d = 1.663 Å, rel. 19.2
(3 7 1), d = 1.939 Å, rel. 14.7
(0 0 4), d = 1.536 Å, rel. 14.5
(0 12 0), d = 1.480 Å, rel. 12.6

Structure:
Unit cell a=10.7264 b=17.7481 c=6.1543 alpha=90.00 beta=93.39 gamma=90.00
Space group C2/c (No. 15)
Inequivalent atoms, fractional coordinates:
Tb1 0.0808 0.0851 0.0004 (multiplicity 8)
Tb2 0.0806 0.4147 0.0006 (multiplicity 8)
Tb3 0.1667 0.2500 0.7485 (multiplicity 8)
Nd1 0.2500 0.0812 0.4999 (multiplicity 8)
Er1 0.0000 0.2497 0.2500 (multiplicity 4)


Record 5
This entry pairs a crystal structure of Tb3Nd2Er7 with its calculated powder diffractogram. Radiation: Cu Kα, 1.54184 Å. Structure: DFT lattice parameters and positions (PBE).

Top 10 peaks for 2θ from 10° to 90°, by intensity:
(1 5 1), d = 2.817 Å, rel. 100.0
(2 0 0), d = 2.831 Å, rel. 56.9
(1 11 0), d = 2.934 Å, rel. 41.6
(1 7 1), d = 2.645 Å, rel. 34.7
(0 8 1), d = 2.860 Å, rel. 23.7
(1 13 0), d = 2.583 Å, rel. 22.5
(3 5 1), d = 1.632 Å, rel. 19.8
(2 0 2), d = 1.518 Å, rel. 17.5
(2 8 1), d = 2.012 Å, rel. 17.4
(0 12 0), d = 3.144 Å, rel. 16.6

Structure:
Unit cell a=5.6622 b=37.7327 c=3.5967 alpha=90.00 beta=90.00 gamma=90.00
Space group Cmmm (No. 65)
Inequivalent atoms, fractional coordinates:
Tb1 0.0000 0.0000 0.0000 (multiplicity 2)
Tb2 0.0000 0.1860 0.0000 (multiplicity 4)
Nd1 0.0000 0.3532 0.5000 (multiplicity 4)
Er1 0.0000 0.0891 0.5000 (multiplicity 4)
Er2 0.0000 0.2696 0.5000 (multiplicity 4)
Er3 0.0000 0.4294 0.0000 (multiplicity 4)
Er4 0.0000 0.5000 0.5000 (multiplicity 2)


Record 6
This entry pairs a crystal structure of TbNd4Er4 with its calculated powder diffractogram. Radiation: Cu Kα, 1.54184 Å. Structure: DFT lattice parameters and positions (PBE).

Top 10 peaks for 2θ from 10° to 90°, by intensity:
(3 1 1), d = 2.932 Å, rel. 100.0
(0 2 0), d = 2.541 Å, rel. 33.9
(3 1 4), d = 1.532 Å, rel. 21.5
(0 2 3), d = 1.797 Å, rel. 18.1
(6 0 2), d = 1.794 Å, rel. 18.0
(6 0 -1), d = 2.534 Å, rel. 16.8
(3 3 1), d = 1.531 Å, rel. 14.3
(3 3 4), d = 1.166 Å, rel. 8.9
(9 3 0), d = 1.164 Å, rel. 8.8
(0 4 3), d = 1.136 Å, rel. 8.3

Structure:
Unit cell a=15.2063 b=5.0793 c=8.0445 alpha=90.00 beta=108.50 gamma=90.00
Space group C2/m (No. 12)
Inequivalent atoms, fractional coordinates:
Tb1 0.0000 0.0000 0.0000 (multiplicity 2)
Nd1 0.1656 0.5000 0.0015 (multiplicity 4)
Nd2 0.2225 0.0000 0.3357 (multiplicity 4)
Er1 0.0541 0.5000 0.3358 (multiplicity 4)
Er2 0.1088 0.0000 0.6656 (multiplicity 4)


What did the sixth record say?
This entry pairs a crystal structure of TbNd4Er4 with its calculated powder diffractogram. Radiation: Cu Kα, 1.54184 Å. Structure: DFT lattice parameters and positions (PBE).

Top 10 peaks for 2θ from 10° to 90°, by intensity:
(3 1 1), d = 2.932 Å, rel. 100.0
(0 2 0), d = 2.541 Å, rel. 33.9
(3 1 4), d = 1.532 Å, rel. 21.5
(0 2 3), d = 1.797 Å, rel. 18.1
(6 0 2), d = 1.794 Å, rel. 18.0
(6 0 -1), d = 2.534 Å, rel. 16.8
(3 3 1), d = 1.531 Å, rel. 14.3
(3 3 4), d = 1.166 Å, rel. 8.9
(9 3 0), d = 1.164 Å, rel. 8.8
(0 4 3), d = 1.136 Å, rel. 8.3

Structure:
Unit cell a=15.2063 b=5.0793 c=8.0445 alpha=90.00 beta=108.50 gamma=90.00
Space group C2/m (No. 12)
Inequivalent atoms, fractional coordinates:
Tb1 0.0000 0.0000 0.0000 (multiplicity 2)
Nd1 0.1656 0.5000 0.0015 (multiplicity 4)
Nd2 0.2225 0.0000 0.3357 (multiplicity 4)
Er1 0.0541 0.5000 0.3358 (multiplicity 4)
Er2 0.1088 0.0000 0.6656 (multiplicity 4)


Copy entry 5 word for word.
This entry pairs a crystal structure of Tb3Nd2Er7 with its calculated powder diffractogram. Radiation: Cu Kα, 1.54184 Å. Structure: DFT lattice parameters and positions (PBE).

Top 10 peaks for 2θ from 10° to 90°, by intensity:
(1 5 1), d = 2.817 Å, rel. 100.0
(2 0 0), d = 2.831 Å, rel. 56.9
(1 11 0), d = 2.934 Å, rel. 41.6
(1 7 1), d = 2.645 Å, rel. 34.7
(0 8 1), d = 2.860 Å, rel. 23.7
(1 13 0), d = 2.583 Å, rel. 22.5
(3 5 1), d = 1.632 Å, rel. 19.8
(2 0 2), d = 1.518 Å, rel. 17.5
(2 8 1), d = 2.012 Å, rel. 17.4
(0 12 0), d = 3.144 Å, rel. 16.6

Structure:
Unit cell a=5.6622 b=37.7327 c=3.5967 alpha=90.00 beta=90.00 gamma=90.00
Space group Cmmm (No. 65)
Inequivalent atoms, fractional coordinates:
Tb1 0.0000 0.0000 0.0000 (multiplicity 2)
Tb2 0.0000 0.1860 0.0000 (multiplicity 4)
Nd1 0.0000 0.3532 0.5000 (multiplicity 4)
Er1 0.0000 0.0891 0.5000 (multiplicity 4)
Er2 0.0000 0.2696 0.5000 (multiplicity 4)
Er3 0.0000 0.4294 0.0000 (multiplicity 4)
Er4 0.0000 0.5000 0.5000 (multiplicity 2)